# 1
Theoretical X-ray diffraction stick pattern
Compound: CuRu8
Radiation: Cu Kα
Structure: a structure optimized by DFT (PBE)
Kinematic intensities with the Lorentz-polarization factor, no thermal factor.

Structure:
a b c (Å): 8.101 8.101 3.795
angles (deg): 90.00 90.00 90.00
Space group I4/mmm (No. 139)
Unique sites:
Cu1 0.000 0.000 0.000 [2 per cell]
Ru1 0.000 0.337 0.000 [8 per cell]
Ru2 0.170 0.170 0.500 [8 per cell]

The 10 most intense peaks (15 to 90 degrees two-theta), by angle:
| 2θ (°) | d_spacing | I (rel.) |
| --- | --- | --- |
| 15.47 | 5.729 | 2 |
| 41.02 | 2.200 | 100 |
| 47.62 | 1.910 | 32 |
| 47.94 | 1.898 | 16 |
| 52.44 | 1.745 | 1 |
| 69.63 | 1.350 | 10 |
| 69.88 | 1.346 | 20 |
| 84.12 | 1.151 | 24 |
| 84.59 | 1.146 | 12 |
| 88.97 | 1.100 | 11 |


# 2
Theoretical X-ray diffraction stick pattern
Compound: Sc3Cu2Ru
Radiation: Cu Kα
Structure: a structure optimized by DFT (PBE)
Kinematic intensities with the Lorentz-polarization factor, no thermal factor.

Structure:
a b c (Å): 4.595 13.744 6.496
angles (deg): 90.00 90.00 90.00
Space group Cmmm (No. 65)
Unique sites:
Sc1 0.000 0.000 0.244 [4 per cell]
Sc2 0.000 0.331 0.243 [8 per cell]
Cu1 0.000 0.166 0.500 [4 per cell]
Cu2 0.000 0.500 0.000 [2 per cell]
Cu3 0.000 0.500 0.500 [2 per cell]
Ru1 0.000 0.165 0.000 [4 per cell]

The 10 most intense peaks (15 to 90 degrees two-theta), by angle:
| 2θ (°) | d_spacing | I (rel.) |
| --- | --- | --- |
| 27.48 | 3.246 | 13 |
| 39.24 | 2.296 | 100 |
| 39.33 | 2.291 | 20 |
| 48.54 | 1.876 | 2 |
| 48.64 | 1.872 | 2 |
| 56.73 | 1.623 | 19 |
| 64.14 | 1.452 | 4 |
| 71.11 | 1.326 | 24 |
| 71.25 | 1.323 | 12 |
| 84.40 | 1.148 | 7 |


# 3
Theoretical X-ray diffraction stick pattern
Compound: ScCuTcRu
Radiation: Cu Kα
Structure: a structure optimized by DFT (PBE)
Kinematic intensities with the Lorentz-polarization factor, no thermal factor.

Structure:
a b c (Å): 6.234 6.234 6.234
angles (deg): 90.00 90.00 90.00
Space group F-43m (No. 216)
Unique sites:
Sc1 0.000 0.000 0.000 [4 per cell]
Cu1 0.250 0.250 0.250 [4 per cell]
Tc1 0.000 0.000 0.500 [4 per cell]
Ru1 0.250 0.250 0.750 [4 per cell]

The 9 most intense peaks (15 to 90 degrees two-theta), by angle:
| 2θ (°) | d_spacing | I (rel.) |
| --- | --- | --- |
| 24.73 | 3.599 | 11 |
| 28.64 | 3.117 | 1 |
| 40.94 | 2.204 | 100 |
| 48.42 | 1.880 | 5 |
| 59.29 | 1.559 | 16 |
| 65.23 | 1.430 | 2 |
| 74.57 | 1.273 | 31 |
| 79.96 | 1.200 | 2 |
| 88.77 | 1.102 | 10 |


# 4
Theoretical X-ray diffraction stick pattern
Compound: ZrScCuRu
Radiation: Cu Kα
Structure: a structure optimized by DFT (PBE)
Kinematic intensities with the Lorentz-polarization factor, no thermal factor.

Structure:
a b c (Å): 3.259 3.259 6.573
angles (deg): 90.00 90.00 90.00
Space group P4mm (No. 99)
Unique sites:
Zr1 0.000 0.000 0.000 [1 per cell]
Sc1 0.000 0.000 0.490 [1 per cell]
Cu1 0.500 0.500 0.741 [1 per cell]
Ru1 0.500 0.500 0.238 [1 per cell]

The 10 most intense peaks (15 to 90 degrees two-theta), by angle:
| 2θ (°) | d_spacing | I (rel.) |
| --- | --- | --- |
| 30.62 | 2.920 | 6 |
| 38.92 | 2.314 | 100 |
| 39.09 | 2.304 | 50 |
| 41.53 | 2.174 | 4 |
| 55.96 | 1.643 | 8 |
| 56.48 | 1.629 | 16 |
| 70.37 | 1.338 | 16 |
| 70.71 | 1.332 | 32 |
| 83.57 | 1.157 | 10 |
| 84.00 | 1.152 | 5 |


# 5
Theoretical X-ray diffraction stick pattern
Compound: CuRu3Se
Radiation: Cu Kα
Structure: a structure optimized by DFT (PBE)
Kinematic intensities with the Lorentz-polarization factor, no thermal factor.

Structure:
a b c (Å): 4.512 4.512 4.512
angles (deg): 90.00 90.00 90.00
Space group Pm-3m (No. 221)
Unique sites:
Cu1 0.000 0.000 0.000 [1 per cell]
Ru1 0.000 0.500 0.500 [3 per cell]
Se1 0.500 0.500 0.500 [1 per cell]

The 10 most intense peaks (15 to 90 degrees two-theta), by angle:
| 2θ (°) | d_spacing | I (rel.) |
| --- | --- | --- |
| 19.67 | 4.512 | 40 |
| 34.43 | 2.605 | 87 |
| 39.96 | 2.256 | 100 |
| 44.92 | 2.018 | 18 |
| 57.79 | 1.595 | 66 |
| 61.67 | 1.504 | 9 |
| 69.03 | 1.360 | 32 |
| 72.58 | 1.303 | 22 |
| 86.22 | 1.128 | 10 |
| 89.57 | 1.094 | 5 |


# 6
Theoretical X-ray diffraction stick pattern
Compound: Sm7Cu2Ru2
Radiation: Cu Kα
Structure: a structure optimized by DFT (PBE)
Kinematic intensities with the Lorentz-polarization factor, no thermal factor.

Structure:
a b c (Å): 7.510 11.278 7.088
angles (deg): 90.00 90.00 90.00
Space group Cmmm (No. 65)
Unique sites:
Sm1 0.000 0.000 0.000 [2 per cell]
Sm2 0.000 0.500 0.256 [4 per cell]
Sm3 0.250 0.250 0.268 [8 per cell]
Cu1 0.162 0.000 0.500 [4 per cell]
Ru1 0.000 0.308 0.000 [4 per cell]

The 10 most intense peaks (15 to 90 degrees two-theta), by angle:
| 2θ (°) | d_spacing | I (rel.) |
| --- | --- | --- |
| 26.87 | 3.318 | 32 |
| 28.56 | 3.125 | 84 |
| 28.96 | 3.083 | 47 |
| 31.74 | 2.819 | 68 |
| 34.81 | 2.577 | 24 |
| 36.84 | 2.439 | 70 |
| 38.40 | 2.344 | 100 |
| 51.58 | 1.772 | 21 |
| 54.60 | 1.681 | 24 |
| 59.12 | 1.563 | 21 |


# 7
Theoretical X-ray diffraction stick pattern
Compound: SrCuRu
Radiation: Cu Kα
Structure: a structure optimized by DFT (PBE)
Kinematic intensities with the Lorentz-polarization factor, no thermal factor.

Structure:
a b c (Å): 3.415 3.415 10.541
angles (deg): 90.00 90.00 90.00
Space group I4mm (No. 107)
Unique sites:
Sr1 0.000 0.000 0.000 [2 per cell]
Cu1 0.000 0.000 0.284 [2 per cell]
Ru1 0.000 0.000 0.713 [2 per cell]

The 10 most intense peaks (15 to 90 degrees two-theta), by angle:
| 2θ (°) | d_spacing | I (rel.) |
| --- | --- | --- |
| 16.82 | 5.271 | 23 |
| 27.45 | 3.249 | 20 |
| 34.02 | 2.635 | 31 |
| 36.70 | 2.449 | 100 |
| 37.23 | 2.415 | 84 |
| 51.31 | 1.780 | 37 |
| 53.67 | 1.708 | 28 |
| 65.09 | 1.433 | 18 |
| 66.78 | 1.401 | 33 |
| 68.04 | 1.378 | 27 |


# 8
Theoretical X-ray diffraction stick pattern
Compound: Ta3CuRu4
Radiation: Cu Kα
Structure: a structure optimized by DFT (PBE)
Kinematic intensities with the Lorentz-polarization factor, no thermal factor.

Structure:
a b c (Å): 3.289 4.318 8.662
angles (deg): 90.00 90.00 90.00
Space group Pmmm (No. 47)
Unique sites:
Ta1 0.000 0.000 0.000 [1 per cell]
Ta2 0.000 0.500 0.270 [2 per cell]
Cu1 0.000 0.000 0.500 [1 per cell]
Ru1 0.500 0.000 0.245 [2 per cell]
Ru2 0.500 0.500 0.000 [1 per cell]
Ru3 0.500 0.500 0.500 [1 per cell]

The 10 most intense peaks (15 to 90 degrees two-theta), by angle:
| 2θ (°) | d_spacing | I (rel.) |
| --- | --- | --- |
| 23.01 | 3.865 | 5 |
| 40.27 | 2.240 | 100 |
| 41.70 | 2.166 | 24 |
| 41.84 | 2.159 | 23 |
| 55.91 | 1.645 | 10 |
| 60.56 | 1.529 | 14 |
| 72.17 | 1.309 | 17 |
| 75.16 | 1.264 | 13 |
| 75.34 | 1.262 | 16 |
| 87.01 | 1.120 | 10 |


# 9
Theoretical X-ray diffraction stick pattern
Compound: Tb4CuRu
Radiation: Cu Kα
Structure: a structure optimized by DFT (PBE)
Kinematic intensities with the Lorentz-polarization factor, no thermal factor.

Structure:
a b c (Å): 6.925 6.857 6.858
angles (deg): 90.00 92.69 90.00
Space group P2_1/c (No. 14)
Unique sites:
Tb1 0.157 0.161 0.176 [4 per cell]
Tb2 0.330 0.661 0.152 [4 per cell]
Cu1 0.500 0.000 0.000 [2 per cell]
Ru1 0.000 0.000 0.500 [2 per cell]

The 10 most intense peaks (15 to 90 degrees two-theta), by angle:
| 2θ (°) | d_spacing | I (rel.) |
| --- | --- | --- |
| 28.53 | 3.129 | 46 |
| 28.91 | 3.088 | 96 |
| 29.13 | 3.066 | 100 |
| 29.64 | 3.014 | 49 |
| 31.43 | 2.846 | 30 |
| 32.18 | 2.781 | 25 |
| 43.20 | 2.094 | 24 |
| 49.25 | 1.850 | 47 |
| 50.28 | 1.815 | 27 |
| 50.53 | 1.806 | 23 |


# 10
Theoretical X-ray diffraction stick pattern
Compound: Tb12CuRu6
Radiation: Cu Kα
Structure: a structure optimized by DFT (PBE)
Kinematic intensities with the Lorentz-polarization factor, no thermal factor.

Structure:
a b c (Å): 12.4629 12.4629 11.3218
angles (deg): 90.00 90.00 120.00
Space group R-3 (No. 148, hexagonal axes)
Unique sites:
Tb1 0.0300 0.8217 0.3867 [18 per cell]
Tb2 0.0355 0.8252 0.8824 [18 per cell]
Cu1 0.0000 0.0000 0.0000 [3 per cell]
Ru1 0.0496 0.7844 0.6505 [18 per cell]

The 10 most intense peaks (15 to 90 degrees two-theta), by angle:
| 2θ (°) | d_spacing | I (rel.) |
| --- | --- | --- |
| 23.18 | 3.838 | 37 |
| 26.94 | 3.310 | 74 |
| 28.65 | 3.116 | 20 |
| 32.71 | 2.738 | 38 |
| 33.87 | 2.646 | 52 |
| 38.21 | 2.355 | 100 |
| 38.72 | 2.326 | 75 |
| 54.17 | 1.693 | 19 |
| 55.53 | 1.655 | 22 |
| 57.06 | 1.614 | 19 |


# 11
Theoretical X-ray diffraction stick pattern
Compound: CuTcRu
Radiation: Cu Kα
Structure: a structure optimized by DFT (PBE)
Kinematic intensities with the Lorentz-polarization factor, no thermal factor.

Structure:
a b c (Å): 8.859 3.646 5.460
angles (deg): 90.00 111.91 90.00
Space group C2/m (No. 12)
Unique sites:
Cu1 0.167 0.000 0.342 [4 per cell]
Tc1 0.169 0.000 0.842 [4 per cell]
Ru1 0.000 0.500 0.000 [2 per cell]
Ru2 0.000 0.500 0.500 [2 per cell]

The 10 most intense peaks (15 to 90 degrees two-theta), by angle:
| 2θ (°) | d_spacing | I (rel.) |
| --- | --- | --- |
| 41.22 | 2.190 | 100 |
| 41.38 | 2.182 | 98 |
| 45.28 | 2.003 | 38 |
| 48.77 | 1.867 | 30 |
| 50.03 | 1.823 | 28 |
| 69.76 | 1.348 | 20 |
| 72.46 | 1.304 | 17 |
| 80.71 | 1.191 | 13 |
| 81.04 | 1.187 | 13 |
| 85.85 | 1.132 | 11 |


# 12
Theoretical X-ray diffraction stick pattern
Compound: CuTcRu
Radiation: Cu Kα
Structure: a structure optimized by DFT (PBE)
Kinematic intensities with the Lorentz-polarization factor, no thermal factor.

Structure:
a b c (Å): 8.052 4.613 5.210
angles (deg): 90.00 123.02 90.00
Space group Cc (No. 9)
Unique sites:
Cu1 0.000 0.080 0.000 [4 per cell]
Tc1 0.167 0.419 0.496 [4 per cell]
Ru1 0.333 0.084 0.006 [4 per cell]

The 10 most intense peaks (15 to 90 degrees two-theta), by angle:
| 2θ (°) | d_spacing | I (rel.) |
| --- | --- | --- |
| 38.84 | 2.319 | 45 |
| 39.05 | 2.306 | 24 |
| 41.34 | 2.184 | 77 |
| 43.63 | 2.075 | 100 |
| 44.42 | 2.040 | 92 |
| 44.81 | 2.023 | 93 |
| 70.61 | 1.334 | 30 |
| 76.12 | 1.251 | 18 |
| 84.42 | 1.147 | 18 |
| 86.09 | 1.129 | 30 |